This entry pairs a crystal structure of Pr3ThRh8 with its calculated X-ray diffraction stick pattern. Radiation: Cu Kα (λ = 1.5418 Å). Structure: DFT lattice parameters and positions (PBE).
Intensities are scaled so that the largest is 100.

Atomic structure:
```
data_Pr3ThRh8
_space_group_name_H-M_alt 'R 3 m'
_space_group_IT_number 160
_space_group_name_Hall 'R 3 -2"'
_cell_length_a 5.4385
_cell_length_b 5.4385
_cell_length_c 26.5768
_cell_angle_alpha 90.00
_cell_angle_beta 90.00
_cell_angle_gamma 120.00
loop_
_atom_site_label
_atom_site_type_symbol
_atom_site_fract_x
_atom_site_fract_y
_atom_site_fract_z
Pr1 Pr 0.0000 0.0000 0.0000
Pr2 Pr 0.0000 0.0000 0.1242
Pr3 Pr 0.0000 0.0000 0.6274
Th1 Th 0.0000 0.0000 0.5013
Rh1 Rh 0.0000 0.0000 0.3133
Rh2 Rh 0.0000 0.0000 0.8132
Rh3 Rh 0.0018 0.5009 0.0642
Rh4 Rh 0.1676 0.3353 0.8957
```

Principal peaks in the range 10 to 90 degrees two-theta, low angle first:
2theta  I/Imax
33.0  42.1
38.9  100.0
40.7  27.0
58.8  12.2
62.8  30.2
69.1  13.0
69.2  12.8
78.8  7.0
82.2  8.5
83.4  7.3